Entry 1:
The following is a simulated X-ray powder pattern of Li3Fe2P3O12. It was derived from a structure optimized by DFT (PBE+U), using Cu Kα X-rays.
Lines closer than 0.1° are merged.

Structural model:
```
Li3Fe2P3O12
1.0
5.8008 -6.3797 0.0000
5.8008 6.3797 0.0000
-2.6996 0.0000 5.8221
Li Fe P O
6 4 6 24
direct
0.0000 0.0000 0.0000
0.0000 0.0000 0.5000
0.2099 0.7901 0.7500
0.4660 0.5340 0.7500
0.5340 0.4660 0.2500
0.7901 0.2099 0.2500
0.1357 0.4407 0.8726
0.4407 0.1357 0.3726
0.5593 0.8643 0.6274
0.8643 0.5593 0.1274
0.1631 0.3681 0.3704
0.2072 0.7928 0.2500
0.3681 0.1631 0.8704
0.6319 0.8369 0.1296
0.7928 0.2072 0.7500
0.8369 0.6319 0.6296
0.0291 0.7637 0.2616
0.0432 0.2076 0.3016
0.1127 0.4548 0.1853
0.1730 0.4938 0.6064
0.2076 0.0432 0.8016
0.2278 0.6791 0.0284
0.2363 0.9709 0.2384
0.3209 0.7722 0.4716
0.3456 0.3488 0.9081
0.3488 0.3456 0.4081
0.4548 0.1127 0.6853
0.4938 0.1730 0.1064
0.5062 0.8270 0.8936
0.5452 0.8873 0.3147
0.6512 0.6544 0.5919
0.6544 0.6512 0.0919
0.6791 0.2278 0.5284
0.7637 0.0291 0.7616
0.7722 0.3209 0.9716
0.7924 0.9568 0.1984
0.8270 0.5062 0.3936
0.8873 0.5452 0.8147
0.9568 0.7924 0.6984
0.9709 0.2363 0.7384
```

The 10 most intense peaks (2θ from 10° to 80°), sorted by position:
d/Å	I/Imax
6.380	30
5.685	40
5.263	100
3.383	31
3.190	28
3.076	73
2.851	23
2.797	26
2.728	60
2.707	25


Entry 2:
The following is a simulated X-ray powder pattern of LiFe2P2O8. It was derived from a structure optimized by DFT (PBE+U), using Cu Kα X-rays.
Lines closer than 0.1° are merged.

Structural model:
```
LiFe2P2O8
1.0
4.0878 -2.7132 0.0000
4.0878 2.7132 0.0000
-0.0941 0.0000 6.3648
Li Fe P O
1 2 2 8
direct
0.0000 0.0000 0.0000
0.6659 0.6659 0.7344
0.6682 0.6682 0.2541
0.0193 0.0193 0.5027
0.3254 0.3254 0.9925
0.3669 0.8944 0.5115
0.4234 0.4234 0.1952
0.4353 0.4353 0.7995
0.4386 0.9745 0.9819
0.8944 0.3669 0.5115
0.9082 0.9082 0.6988
0.9208 0.9208 0.2960
0.9745 0.4386 0.9819
```

The 10 most intense peaks (2θ from 10° to 80°), sorted by position:
d/Å	I/Imax
4.521	87
4.087	46
3.700	48
3.672	49
3.463	33
2.713	71
2.612	94
2.592	100
2.435	84
2.065	47


Entry 3:
The following is a simulated X-ray powder pattern of Li4Fe2P3O12. It was derived from a structure optimized by DFT (PBE+U), using Cu Kα X-rays.
Lines closer than 0.1° are merged.

Structural model:
```
Li4Fe2P3O12
1.0
8.3933 0.0000 0.0000
4.1141 7.3342 0.0000
4.1743 2.4709 7.8321
Li Fe P O
8 4 6 24
direct
0.0815 0.3376 0.3572
0.2628 0.7844 0.9145
0.2739 0.9338 0.6024
0.3315 0.7269 0.3623
0.6685 0.2731 0.6377
0.7261 0.0662 0.3976
0.7372 0.2156 0.0855
0.9185 0.6624 0.6428
0.1490 0.1522 0.0575
0.3455 0.3539 0.4605
0.6545 0.6461 0.5395
0.8510 0.8478 0.9425
0.0385 0.7565 0.2568
0.2497 0.5444 0.7506
0.4626 0.0443 0.2442
0.5374 0.9557 0.7558
0.7503 0.4556 0.2494
0.9615 0.2435 0.7432
0.0051 0.8123 0.0851
0.1403 0.7441 0.7865
0.1439 0.8818 0.2302
0.1513 0.2005 0.5959
0.1621 0.5432 0.3045
0.1870 0.3919 0.9126
0.1971 0.5657 0.5992
0.2591 0.1538 0.2206
0.3821 0.9913 0.9223
0.4527 0.8558 0.3936
0.4644 0.4997 0.7001
0.4876 0.8338 0.7077
0.5124 0.1662 0.2923
0.5356 0.5003 0.2999
0.5473 0.1442 0.6064
0.6179 0.0087 0.0777
0.7409 0.8462 0.7794
0.8029 0.4343 0.4008
0.8130 0.6081 0.0874
0.8379 0.4568 0.6955
0.8487 0.7995 0.4041
0.8561 0.1182 0.7698
0.8597 0.2559 0.2135
0.9949 0.1877 0.9149
```

The 10 most intense peaks (2θ from 10° to 80°), sorted by position:
d/Å	I/Imax
6.220	68
6.163	24
4.576	100
3.733	45
3.701	85
3.110	48
2.882	26
2.872	28
2.862	63
1.787	24


Entry 4:
The following is a simulated X-ray powder pattern of LiFePO4. It was derived from a structure optimized by DFT (PBE+U), using Cu Kα X-rays.
Lines closer than 0.1° are merged.

Structural model:
```
LiFePO4
1.0
9.5302 0.0000 0.0000
0.0000 6.3270 0.0000
0.0000 0.0000 4.9715
Li Fe P O
4 4 4 16
direct
0.0000 0.0000 0.0000
0.0000 0.5000 0.0000
0.5000 0.0000 0.5000
0.5000 0.5000 0.5000
0.1486 0.2500 0.4695
0.3514 0.7500 0.9695
0.6486 0.2500 0.0305
0.8514 0.7500 0.5305
0.1820 0.7500 0.4627
0.3180 0.2500 0.9627
0.6820 0.7500 0.0373
0.8180 0.2500 0.5373
0.1121 0.5521 0.3347
0.1121 0.9479 0.3347
0.1569 0.2500 0.8929
0.1569 0.7500 0.7707
0.3431 0.2500 0.2707
0.3431 0.7500 0.3929
0.3879 0.0521 0.8347
0.3879 0.4479 0.8347
0.6121 0.5521 0.1653
0.6121 0.9479 0.1653
0.6569 0.2500 0.6071
0.6569 0.7500 0.7293
0.8431 0.2500 0.2293
0.8431 0.7500 0.1071
0.8879 0.0521 0.6653
0.8879 0.4479 0.6653
```

The 10 most intense peaks (2θ from 10° to 80°), sorted by position:
d/Å	I/Imax
4.765	47
4.408	100
3.164	82
2.677	82
2.636	41
2.405	38
2.383	45
2.081	33
2.043	34
1.955	31


Entry 5:
The following is a simulated X-ray powder pattern of LiFeP2O7. It was derived from a structure optimized by DFT (PBE+U), using Cu Kα X-rays.
Lines closer than 0.1° are merged.

Structural model:
```
LiFeP2O7
1.0
8.1433 0.0000 0.0000
0.0000 5.1613 0.0000
-4.6794 0.0000 12.8414
Li Fe P O
4 4 8 28
direct
0.0000 0.0072 0.0000
0.0000 0.9928 0.5000
0.4536 0.4230 0.3386
0.4536 0.5770 0.8386
0.1596 0.0066 0.3191
0.1596 0.9934 0.8191
0.7000 0.4852 0.0412
0.7000 0.5148 0.5412
0.1282 0.4856 0.6556
0.1282 0.5144 0.1556
0.2510 0.4848 0.4783
0.2510 0.5152 0.9783
0.6079 0.0426 0.8748
0.6079 0.9574 0.3748
0.7324 0.0209 0.6946
0.7324 0.9791 0.1946
0.1219 0.1951 0.6781
0.1219 0.8049 0.1781
0.1483 0.2812 0.9182
0.1483 0.7188 0.4182
0.1531 0.2275 0.4460
0.1531 0.7725 0.9460
0.2064 0.3562 0.2556
0.2064 0.6438 0.7556
0.2732 0.4731 0.0995
0.2732 0.5269 0.5995
0.4182 0.9999 0.3664
0.4182 0.0001 0.8664
0.4368 0.4676 0.4763
0.4368 0.5324 0.9763
0.5946 0.0090 0.2553
0.5946 0.9910 0.7553
0.6600 0.1600 0.1017
0.6600 0.8400 0.6017
0.6652 0.3269 0.8982
0.6652 0.6731 0.3982
0.7266 0.3052 0.6616
0.7266 0.6948 0.1616
0.7343 0.1535 0.4459
0.7343 0.8465 0.9459
0.9091 0.0570 0.2715
0.9091 0.9430 0.7715
0.9581 0.4013 0.0792
0.9581 0.5987 0.5792
```

The 10 most intense peaks (2θ from 10° to 80°), sorted by position:
d/Å	I/Imax
6.041	45
4.023	100
3.927	7
3.826	66
2.842	39
2.710	9
2.581	18
2.516	12
2.273	8
1.662	9